Structure and theoretical powder XRD pattern of CdSbPb2O6 (the PBE geometry in Alexandria; Cu Kα, 1.54184 Å).

Peak list (10 most intense, 2θ from 15° to 90°, sorted by position)
hkl 0 0 2, 21.31 deg, intensity 18
hkl 0 2 0, 29.39 deg, intensity 47
hkl 1 1 1, 30.20 deg, intensity 100
hkl 1 1 -3, 30.46 deg, intensity 99
hkl 2 0 -2, 31.13 deg, intensity 47
hkl 2 2 -2, 43.34 deg, intensity 40
hkl 0 0 4, 43.50 deg, intensity 24
hkl 0 2 4, 53.37 deg, intensity 20
hkl 3 1 -1, 54.65 deg, intensity 22
hkl 3 1 -5, 55.13 deg, intensity 22

Atomic structure:
a = 5.7467 Å, b = 6.0777 Å, c = 10.0583 Å
α = 90.00°, β = 124.18°, γ = 90.00°
Atoms (fractional coordinates):
Cd (0.0000, 0.0000, 0.0000)
Cd (0.0000, 0.5000, 0.5000)
Sb (0.5000, 0.0000, 0.5000)
Sb (0.5000, 0.5000, 0.0000)
Pb (0.2292, 0.0460, 0.7401)
Pb (0.2292, 0.4540, 0.2401)
Pb (0.7708, 0.5460, 0.7599)
Pb (0.7708, 0.9540, 0.2599)
O (0.1667, 0.1732, 0.4624)
O (0.1667, 0.3268, 0.9624)
O (0.2568, 0.7264, 0.4325)
O (0.2568, 0.7736, 0.9325)
O (0.3769, 0.0562, 0.2694)
O (0.3769, 0.4438, 0.7694)
O (0.6231, 0.5562, 0.2306)
O (0.6231, 0.9438, 0.7306)
O (0.7432, 0.2264, 0.0675)
O (0.7432, 0.2736, 0.5675)
O (0.8333, 0.6732, 0.0376)
O (0.8333, 0.8268, 0.5376)